(1)
Starting from a cell relaxed with PBE+U, the powder X-ray diffraction pattern of MgFe2S2O10 was calculated for λ = 1.5418 Å (Cu Kα).
Neutral-atom scattering factors, no anomalous dispersion.

Principal peaks in the range 10 to 80 degrees two-theta, low angle first:
2θ (°), d/Å, intensity, (hkl)
17.72, 5.005, 43, 1 0 0
18.60, 4.771, 16, 1 0 -1
22.13, 4.016, 29, 1 -1 0
26.22, 3.398, 29, -1 1 1
26.46, 3.368, 19, 1 -1 1
26.86, 3.320, 100, 1 1 0
27.75, 3.215, 70, 0 1 -2
28.03, 3.184, 56, 1 0 -2
35.57, 2.524, 40, 1 -2 0
42.88, 2.109, 27, 2 1 0
52.45, 1.745, 30, 1 1 -4
53.95, 1.700, 35, -2 2 2

Atomic structure:
Unit cell a=5.332 b=5.585 c=6.981 alpha=107.28 beta=107.09 gamma=94.85
Space group P1 (No. 1)
One atom of each set of equivalent atoms:
Mg1 0.000 0.000 0.000
Fe1 0.218 0.579 0.693
Fe2 0.256 0.634 0.220
S1 0.559 0.228 0.949
S2 0.888 0.991 0.456
O1 0.056 0.941 0.311
O2 0.142 0.687 0.952
O3 0.308 0.544 0.455
O4 0.361 0.258 0.067
O5 0.490 0.352 0.787
O6 0.567 0.951 0.857
O7 0.610 0.873 0.318
O8 0.839 0.337 0.099
O9 0.905 0.268 0.549
O10 0.983 0.883 0.630

(2)
Starting from a cell relaxed with PBE+U, the powder X-ray diffraction pattern of MgFe4S6O46 was calculated for λ = 1.5418 Å (Cu Kα).
Neutral-atom scattering factors, no anomalous dispersion.

Principal peaks in the range 10 to 80 degrees two-theta, low angle first:
2θ (°), d/Å, intensity, (hkl)
10.05, 8.802, 52, 0 0 2
12.69, 6.974, 15, 1 0 -1
15.16, 5.845, 100, 1 1 1
16.41, 5.403, 23, 1 1 -1
19.12, 4.642, 21, 1 1 -2
19.60, 4.528, 14, 1 0 3
21.35, 4.163, 25, 0 1 4
22.53, 3.946, 26, 1 -1 2
22.67, 3.922, 30, 1 1 -3
23.61, 3.768, 19, 0 2 1
25.33, 3.516, 15, -1 1 4
31.88, 2.807, 15, 2 -1 2

Atomic structure:
Unit cell a=7.643 b=7.705 c=17.963 alpha=78.72 beta=89.81 gamma=77.93
Space group P-1 (No. 2)
One atom of each set of equivalent atoms:
Mg1 0.000 0.000 0.000
Fe1 0.045 0.673 0.306
Fe2 0.456 0.267 0.307
S1 0.140 0.445 0.181
S2 0.159 0.273 0.429
S3 0.317 0.053 0.748
O1 0.009 0.636 0.792
O2 0.032 0.155 0.440
O3 0.082 0.439 0.368
O4 0.133 0.622 0.211
O5 0.133 0.819 0.376
O6 0.136 0.077 0.081
O7 0.136 0.201 0.962
O8 0.153 0.490 0.100
O9 0.171 0.887 0.307
O10 0.203 0.227 0.701
O11 0.211 0.326 0.498
O12 0.223 0.988 0.814
O13 0.296 0.762 0.013
O14 0.318 0.323 0.215
O15 0.328 0.176 0.395
O16 0.335 0.921 0.693
O17 0.356 0.767 0.531
O18 0.415 0.521 0.703
O19 0.437 0.711 0.479
O20 0.437 0.717 0.060
O21 0.443 0.517 0.336
O22 0.479 0.446 0.929
O23 0.493 0.087 0.764

(3)
Starting from a cell relaxed with PBE+U, the powder X-ray diffraction pattern of MgFeSbO4 was calculated for λ = 1.5418 Å (Cu Kα).
Neutral-atom scattering factors, no anomalous dispersion.

Principal peaks in the range 10 to 80 degrees two-theta, low angle first:
2θ (°), d/Å, intensity, (hkl)
17.14, 5.173, 85, 1 0 0
23.44, 3.796, 98, 1 0 -1
24.40, 3.648, 95, 1 0 1
32.81, 2.729, 99, 0 1 1
33.12, 2.705, 74, 1 1 0
33.48, 2.676, 52, 0 0 2
34.68, 2.586, 31, 2 0 0
36.92, 2.434, 46, 1 1 -1
47.96, 1.897, 100, 2 1 -1
49.01, 1.859, 52, 2 1 1
50.00, 1.824, 30, 2 0 2
59.43, 1.555, 39, 0 1 3

Atomic structure:
Unit cell a=5.177 b=3.173 c=5.357 alpha=90.00 beta=92.27 gamma=90.00
Space group P2 (No. 3)
One atom of each set of equivalent atoms:
Mg1 0.000 0.000 0.000
Fe1 0.500 0.997 0.000
Sb1 0.000 0.499 0.500
O1 0.209 0.998 0.327
O2 0.237 0.498 0.855

(4)
Starting from a cell relaxed with PBE+U, the powder X-ray diffraction pattern of MgFeSbO4 was calculated for λ = 1.5418 Å (Cu Kα).
Neutral-atom scattering factors, no anomalous dispersion.

Principal peaks in the range 10 to 80 degrees two-theta, low angle first:
2θ (°), d/Å, intensity, (hkl)
16.72, 5.303, 57, 0 1 1
20.12, 4.412, 78, 0 0 2
26.88, 3.317, 100, 0 2 0
32.79, 2.731, 94, 1 1 1
33.32, 2.689, 54, 0 1 3
34.73, 2.583, 61, 1 0 2
44.07, 2.055, 44, 1 1 3
44.45, 2.038, 34, 1 2 2
50.30, 1.814, 29, 1 0 4
51.35, 1.779, 43, 1 3 1
57.92, 1.592, 38, 2 0 0
59.84, 1.546, 26, 1 3 3

Atomic structure:
Unit cell a=3.186 b=6.634 c=8.825 alpha=90.00 beta=90.00 gamma=90.00
Space group Amm2 (No. 38)
One atom of each set of equivalent atoms:
Mg1 0.000 0.000 0.000
Fe1 0.500 0.000 0.281
Sb1 0.000 0.000 0.666
O1 0.000 0.185 0.181
O2 0.500 0.000 0.508
O3 0.500 0.000 0.861

(5)
Starting from a cell relaxed with PBE+U, the powder X-ray diffraction pattern of MgFe2Sb2O8 was calculated for λ = 1.5418 Å (Cu Kα).
Neutral-atom scattering factors, no anomalous dispersion.

Principal peaks in the range 10 to 80 degrees two-theta, low angle first:
2θ (°), d/Å, intensity, (hkl)
18.14, 4.889, 32, 0 1 0
19.60, 4.529, 26, 0 1 -1
22.64, 3.927, 97, -1 1 1
26.32, 3.387, 100, 1 -1 1
30.76, 2.906, 29, -2 1 1
33.59, 2.668, 36, 1 1 0
34.11, 2.628, 34, 0 2 -1
34.23, 2.619, 65, 0 0 2
34.50, 2.600, 33, 2 0 -1
52.05, 1.757, 47, 1 -3 2
54.16, 1.693, 23, 2 -2 2
60.48, 1.531, 33, 2 2 -2

Atomic structure:
Unit cell a=5.891 b=5.973 c=6.058 alpha=98.37 beta=110.88 gamma=117.86
Space group P1 (No. 1)
One atom of each set of equivalent atoms:
Mg1 0.000 0.000 0.000
Fe1 0.008 0.995 0.505
Fe2 0.750 0.318 0.079
Sb1 0.274 0.687 0.930
Sb2 0.525 0.503 0.499
O1 0.202 0.450 0.140
O2 0.242 0.434 0.658
O3 0.290 0.011 0.866
O4 0.294 0.107 0.360
O5 0.705 0.951 0.137
O6 0.706 0.895 0.642
O7 0.797 0.566 0.365
O8 0.848 0.558 0.853

(6)
Starting from a cell relaxed with PBE+U, the powder X-ray diffraction pattern of Mg2FeSbO6 was calculated for λ = 1.5418 Å (Cu Kα).
Neutral-atom scattering factors, no anomalous dispersion.

Principal peaks in the range 10 to 80 degrees two-theta, low angle first:
2θ (°), d/Å, intensity, (hkl)
23.27, 3.823, 59, 0 2 0
23.56, 3.776, 57, 1 0 -1
23.91, 3.722, 59, 1 0 1
33.23, 2.696, 47, 0 0 2
33.35, 2.687, 100, 1 2 -1
33.60, 2.667, 93, 1 2 1
34.39, 2.608, 40, 2 0 0
47.57, 1.911, 28, 0 4 0
48.20, 1.888, 26, 2 0 -2
59.27, 1.559, 48, 0 4 2
60.78, 1.524, 27, 3 2 -1
61.26, 1.513, 26, 3 2 1

Atomic structure:
Unit cell a=5.216 b=7.646 c=5.393 alpha=90.00 beta=90.83 gamma=90.00
Space group P2_1/m (No. 11)
One atom of each set of equivalent atoms:
Mg1 0.012 0.250 0.035
Mg2 0.480 0.750 0.430
Fe1 0.500 0.000 0.000
Sb1 0.000 0.000 0.500
O1 0.139 0.250 0.426
O2 0.172 0.569 0.189
O3 0.318 0.569 0.677
O4 0.379 0.250 0.929

(7)
Starting from a cell relaxed with PBE+U, the powder X-ray diffraction pattern of MgFe2Sb2O8 was calculated for λ = 1.5418 Å (Cu Kα).
Neutral-atom scattering factors, no anomalous dispersion.

Principal peaks in the range 10 to 80 degrees two-theta, low angle first:
2θ (°), d/Å, intensity, (hkl)
18.30, 4.847, 26, 1 -1 0
19.00, 4.672, 34, 0 1 -1
25.95, 3.433, 48, -1 1 1
28.16, 3.169, 100, 1 1 -1
32.15, 2.784, 95, 1 0 1
32.33, 2.769, 72, 1 -2 1
32.42, 2.762, 31, 2 -1 0
32.56, 2.750, 18, -2 1 1
41.71, 2.166, 18, 2 -1 1
52.34, 1.748, 19, 2 1 0
52.46, 1.744, 29, 1 2 -3
52.66, 1.738, 17, 3 0 -1

Atomic structure:
Unit cell a=5.776 b=5.807 c=5.820 alpha=107.60 beta=106.81 gamma=113.65
Space group P1 (No. 1)
One atom of each set of equivalent atoms:
Mg1 0.000 0.000 0.000
Fe1 0.717 0.690 0.414
Fe2 0.993 0.376 0.384
Sb1 0.300 0.693 0.001
Sb2 0.523 0.190 0.721
O1 0.216 0.886 0.745
O2 0.250 0.449 0.180
O3 0.291 0.395 0.693
O4 0.293 0.991 0.292
O5 0.713 0.977 0.697
O6 0.714 0.402 0.125
O7 0.722 0.920 0.177
O8 0.851 0.515 0.740

(8)
Starting from a cell relaxed with PBE+U, the powder X-ray diffraction pattern of MgFe2Sb2O8 was calculated for λ = 1.5418 Å (Cu Kα).
Neutral-atom scattering factors, no anomalous dispersion.

Principal peaks in the range 10 to 80 degrees two-theta, low angle first:
2θ (°), d/Å, intensity, (hkl)
16.92, 5.240, 23, 1 0 0
17.07, 5.194, 17, 0 0 1
19.47, 4.558, 27, 0 1 1
21.06, 4.218, 100, 1 1 0
26.66, 3.344, 94, 1 -1 0
29.61, 3.017, 17, 2 1 1
32.78, 2.732, 52, 1 0 2
34.08, 2.631, 33, 1 2 2
34.20, 2.622, 50, 2 1 2
34.58, 2.594, 43, 0 0 2
47.08, 1.930, 17, 3 2 2
59.49, 1.554, 18, -2 1 2

Atomic structure:
Unit cell a=6.068 b=6.082 c=6.246 alpha=62.30 beta=62.44 gamma=66.79
Space group P1 (No. 1)
One atom of each set of equivalent atoms:
Mg1 0.000 0.000 0.000
Fe1 0.300 0.289 0.229
Fe2 0.714 0.698 0.054
Sb1 0.338 0.320 0.678
Sb2 0.745 0.729 0.530
O1 0.002 0.622 0.225
O2 0.157 0.144 0.632
O3 0.182 0.166 0.055
O4 0.488 0.469 0.307
O5 0.515 0.493 0.753
O6 0.616 0.972 0.718
O7 0.630 0.986 0.229
O8 0.988 0.598 0.719